# 1
The following is a simulated powder diffractogram of Na2Ca3BiO6. It was derived from DFT lattice parameters and positions (GGA-PBE), using Cu Kα, 1.54184 Å.

Crystal structure
```
data_Na2Ca3BiO6
_cell_length_a 5.9491
_cell_length_b 5.9491
_cell_length_c 5.8630
_cell_angle_alpha 99.85
_cell_angle_beta 99.85
_cell_angle_gamma 119.79
_symmetry_space_group_name_H-M 'P 1'
_symmetry_Int_Tables_number 1
_symmetry_space_group_name_Hall 'P 1'
loop_
_atom_site_label
_atom_site_fract_x
_atom_site_fract_y
_atom_site_fract_z
Na1 0.1659 0.8341 0.0000
Na2 0.8341 0.1659 0.0000
Ca1 0.0000 0.0000 0.5000
Ca2 0.3296 0.6704 0.5000
Ca3 0.6704 0.3296 0.5000
Bi1 0.5000 0.5000 0.0000
O1 0.1014 0.4141 0.7416
O2 0.2747 0.2747 0.2526
O3 0.4141 0.1014 0.7416
O4 0.5859 0.8986 0.2584
O5 0.7253 0.7253 0.7474
O6 0.8986 0.5859 0.2584
```

The 10 most intense peaks (5 to 70 degrees two-theta), most intense first:
two_theta	I (rel.)
37.3	100
18.0	90
31.9	79
20.3	69
37.1	50
17.2	50
23.7	48
54.0	47
53.2	32
27.7	30

# 2
The following is a simulated powder diffractogram of NaCaTlBi. It was derived from DFT lattice parameters and positions (GGA-PBE), using Cu Kα, 1.54184 Å.

Crystal structure
```
data_NaCaTlBi
_cell_length_a 5.7577
_cell_length_b 5.7577
_cell_length_c 5.7577
_cell_angle_alpha 126.36
_cell_angle_beta 126.36
_cell_angle_gamma 79.29
_symmetry_space_group_name_H-M 'P 1'
_symmetry_Int_Tables_number 1
_symmetry_space_group_name_Hall 'P 1'
loop_
_atom_site_label
_atom_site_fract_x
_atom_site_fract_y
_atom_site_fract_z
Na1 0.0000 0.0000 0.0000
Ca1 0.5000 0.5000 0.0000
Tl1 0.7500 0.2500 0.5000
Bi1 0.2500 0.7500 0.5000
```

The 10 most intense peaks (5 to 70 degrees two-theta), most intense first:
two_theta	I (rel.)
31.6	100
24.2	49
34.5	40
20.0	38
60.1	32
40.2	27
54.4	22
47.9	17
49.6	14
40.7	13

# 3
The following is a simulated powder diffractogram of CaNb2Bi2O9. It was derived from DFT lattice parameters and positions (GGA-PBE), using Cu Kα, 1.54184 Å.

Crystal structure
```
data_CaNb2Bi2O9
_cell_length_a 13.8760
_cell_length_b 13.8760
_cell_length_c 13.8760
_cell_angle_alpha 163.76
_cell_angle_beta 163.76
_cell_angle_gamma 23.05
_symmetry_space_group_name_H-M 'P 1'
_symmetry_Int_Tables_number 1
_symmetry_space_group_name_Hall 'P 1'
loop_
_atom_site_label
_atom_site_fract_x
_atom_site_fract_y
_atom_site_fract_z
Ca1 0.0000 0.0000 0.0000
Nb1 0.4277 0.4277 0.0000
Nb2 0.5723 0.5723 0.0000
Bi1 0.2965 0.2965 0.0000
Bi2 0.7035 0.7035 0.0000
O1 0.0700 0.5700 0.5000
O2 0.1721 0.1721 0.0000
O3 0.2500 0.7500 0.5000
O4 0.4300 0.9300 0.5000
O5 0.5000 0.5000 0.0000
O6 0.5700 0.0700 0.5000
O7 0.7500 0.2500 0.5000
O8 0.8279 0.8279 0.0000
O9 0.9300 0.4300 0.5000
```

The 10 most intense peaks (5 to 70 degrees two-theta), most intense first:
two_theta	I (rel.)
32.4	100
6.5	66
32.3	51
22.9	43
24.7	39
57.7	39
46.8	33
46.3	32
26.2	25
28.1	23

# 4
The following is a simulated powder diffractogram of Ca2Nb2BiO8. It was derived from DFT lattice parameters and positions (GGA-PBE), using Cu Kα, 1.54184 Å.

Crystal structure
```
data_Ca2Nb2BiO8
_cell_length_a 11.1270
_cell_length_b 11.1270
_cell_length_c 5.7508
_cell_angle_alpha 93.95
_cell_angle_beta 93.95
_cell_angle_gamma 33.48
_symmetry_space_group_name_H-M 'P 1'
_symmetry_Int_Tables_number 1
_symmetry_space_group_name_Hall 'P 1'
loop_
_atom_site_label
_atom_site_fract_x
_atom_site_fract_y
_atom_site_fract_z
Ca1 0.0395 0.3852 0.2416
Ca2 0.3852 0.0395 0.7416
Ca3 0.6148 0.9605 0.2584
Ca4 0.9605 0.6148 0.7584
Nb1 0.2361 0.5063 0.3249
Nb2 0.4937 0.7639 0.1751
Nb3 0.5063 0.2361 0.8249
Nb4 0.7639 0.4937 0.6751
Bi1 0.0948 0.9052 0.7500
Bi2 0.9052 0.0948 0.2500
O1 0.0348 0.3530 0.6270
O2 0.0943 0.7610 0.2291
O3 0.2390 0.3828 0.0241
O4 0.2390 0.9057 0.2709
O5 0.2824 0.5349 0.6622
O6 0.3530 0.0348 0.1270
O7 0.3828 0.2390 0.5241
O8 0.4651 0.7176 0.8378
O9 0.5349 0.2824 0.1622
O10 0.6172 0.7610 0.4759
O11 0.6470 0.9652 0.8730
O12 0.7176 0.4651 0.3378
O13 0.7610 0.0943 0.7291
O14 0.7610 0.6172 0.9759
O15 0.9057 0.2390 0.7709
O16 0.9652 0.6470 0.3730
```

The 10 most intense peaks (5 to 70 degrees two-theta), most intense first:
two_theta	I (rel.)
18.7	100
25.1	74
32.0	50
23.7	43
30.4	39
31.2	37
8.3	35
40.4	29
41.7	24
46.3	20

# 5
The following is a simulated powder diffractogram of Ca2NdBi3. It was derived from DFT lattice parameters and positions (GGA-PBE), using Cu Kα, 1.54184 Å.

Crystal structure
```
data_Ca2NdBi3
_cell_length_a 7.1613
_cell_length_b 7.1613
_cell_length_c 7.1613
_cell_angle_alpha 136.43
_cell_angle_beta 125.02
_cell_angle_gamma 72.64
_symmetry_space_group_name_H-M 'P 1'
_symmetry_Int_Tables_number 1
_symmetry_space_group_name_Hall 'P 1'
loop_
_atom_site_label
_atom_site_fract_x
_atom_site_fract_y
_atom_site_fract_z
Ca1 0.1632 0.1632 0.0000
Ca2 0.8368 0.8368 0.0000
Nd1 0.5000 0.5000 0.0000
Bi1 0.0000 0.5000 0.5000
Bi2 0.3342 0.8342 0.5000
Bi3 0.6657 0.1658 0.5000
```

The 10 most intense peaks (5 to 70 degrees two-theta), most intense first:
two_theta	I (rel.)
28.6	100
39.8	84
27.0	58
21.5	41
33.7	33
43.7	32
26.8	24
63.7	21
64.4	21
66.3	19

# 6
The following is a simulated powder diffractogram of Ca5NdBi5. It was derived from DFT lattice parameters and positions (GGA-PBE), using Cu Kα, 1.54184 Å.

Crystal structure
```
data_Ca5NdBi5
_cell_length_a 8.2424
_cell_length_b 8.2424
_cell_length_c 9.0113
_cell_angle_alpha 106.09
_cell_angle_beta 106.09
_cell_angle_gamma 45.98
_symmetry_space_group_name_H-M 'P 1'
_symmetry_Int_Tables_number 1
_symmetry_space_group_name_Hall 'P 1'
loop_
_atom_site_label
_atom_site_fract_x
_atom_site_fract_y
_atom_site_fract_z
Ca1 0.0000 0.0000 0.0000
Ca2 0.3192 0.3192 0.6417
Ca3 0.3208 0.3208 0.1777
Ca4 0.6792 0.6792 0.8223
Ca5 0.6808 0.6808 0.3583
Nd1 0.0000 0.0000 0.5000
Bi1 0.1538 0.1538 0.3205
Bi2 0.1633 0.1633 0.8359
Bi3 0.5000 0.5000 0.5000
Bi4 0.8367 0.8367 0.1641
Bi5 0.8462 0.8462 0.6795
```

The 10 most intense peaks (5 to 70 degrees two-theta), most intense first:
two_theta	I (rel.)
39.1	100
27.0	70
27.1	67
27.7	64
23.0	44
24.1	41
15.1	35
47.1	28
37.3	27
10.3	26

# 7
The following is a simulated powder diffractogram of CaNdBi4Pb2. It was derived from DFT lattice parameters and positions (GGA-PBE), using Cu Kα, 1.54184 Å.

Crystal structure
```
data_CaNdBi4Pb2
_cell_length_a 6.9389
_cell_length_b 6.9389
_cell_length_c 6.9389
_cell_angle_alpha 116.00
_cell_angle_beta 116.00
_cell_angle_gamma 97.08
_symmetry_space_group_name_H-M 'P 1'
_symmetry_Int_Tables_number 1
_symmetry_space_group_name_Hall 'P 1'
loop_
_atom_site_label
_atom_site_fract_x
_atom_site_fract_y
_atom_site_fract_z
Ca1 0.0000 0.0000 0.0000
Nd1 0.4993 0.4993 0.0000
Bi1 0.9996 0.9996 0.4996
Bi2 0.9996 0.5000 0.0000
Bi3 0.5000 0.9996 0.0000
Bi4 0.5000 0.5000 0.5004
Pb1 0.9996 0.4996 0.5000
Pb2 0.4996 0.9996 0.5000
```

The 10 most intense peaks (5 to 70 degrees two-theta), most intense first:
two_theta	I (rel.)
31.2	100
34.5	38
59.7	32
53.2	23
49.6	14
39.2	14
65.0	13
66.1	12
17.1	5
25.9	4